Structure and computed powder XRD pattern of Hf3Zr3ZnBi2 (a crystal structure in OQMD, relaxed with GGA-PBE; λ = 1.5418 Å (Cu Kα)).
No peak broadening, texture or thermal motion is included.

Structure:
a = 7.739 Å, b = 7.739 Å, c = 3.897 Å
α = 90.00°, β = 90.00°, γ = 120.00°
Fractional positions:
Hf  0.000  0.764  0.000
Hf  0.236  0.236  0.000
Hf  0.764  0.000  0.000
Zr  0.000  0.395  0.500
Zr  0.395  0.000  0.500
Zr  0.605  0.605  0.500
Zn  0.000  0.000  0.500
Bi  0.333  0.667  0.000
Bi  0.667  0.333  0.000

Most intense lines, 2θ = 10–90°, sorted by position:
2θ 22.8, d = 3.897 Å, rel. 36.0
2θ 32.6, d = 2.746 Å, rel. 100.0
2θ 35.3, d = 2.541 Å, rel. 73.7
2θ 35.4, d = 2.533 Å, rel. 77.6
2θ 40.4, d = 2.234 Å, rel. 40.2
2θ 42.6, d = 2.124 Å, rel. 73.0
2θ 59.9, d = 1.544 Å, rel. 34.5
2θ 65.2, d = 1.430 Å, rel. 29.6